Record 1
Calculated powder XRD pattern of SiPF for CuKα, from DFT lattice parameters and positions (PBE).

Structural model:
Unit cell a=3.517 b=6.057 c=5.860 alpha=90.00 beta=90.00 gamma=90.00
Fractional positions:
Si  0.000  0.076  0.000
Si  0.500  0.924  0.500
P  0.000  0.129  0.616
P  0.500  0.871  0.116
F  0.000  0.327  0.098
F  0.500  0.673  0.598

Top 10 peaks for 5° ≤ 2θ ≤ 70°, in order of falling intensity:
d 6.057, 14.6 deg, rel. 100.0; d 3.041, 29.4 deg, rel. 63.3; d 2.930, 30.5 deg, rel. 39.7; d 2.110, 42.9 deg, rel. 29.9; d 1.643, 56.0 deg, rel. 25.4; d 2.690, 33.3 deg, rel. 16.5; d 2.295, 39.3 deg, rel. 13.6; d 1.678, 54.7 deg, rel. 13.2; d 3.016, 29.6 deg, rel. 12.2; d 2.699, 33.2 deg, rel. 12.0

Record 2
Calculated powder XRD pattern of SiPF for CuKα, from DFT lattice parameters and positions (PBE).

Structural model:
Unit cell a=6.121 b=3.537 c=6.155 alpha=90.00 beta=109.13 gamma=90.00
Fractional positions:
Si  0.000  0.000  0.000
Si  0.500  0.500  0.000
P  0.112  0.500  0.834
P  0.612  0.000  0.834
F  0.092  0.000  0.279
F  0.592  0.500  0.279

Top 10 peaks for 5° ≤ 2θ ≤ 70°, in order of falling intensity:
d 2.889, 31.0 deg, rel. 100.0; d 5.815, 15.2 deg, rel. 91.7; d 1.768, 51.7 deg, rel. 30.9; d 3.016, 29.6 deg, rel. 15.2; d 1.775, 51.5 deg, rel. 14.2; d 2.300, 39.2 deg, rel. 13.5; d 1.692, 54.2 deg, rel. 10.5; d 2.908, 30.7 deg, rel. 9.7; d 1.509, 61.5 deg, rel. 9.7; d 1.517, 61.1 deg, rel. 9.6

Record 3
Calculated powder XRD pattern of SnTe2PF for CuKα, from DFT lattice parameters and positions (PBE).

Structural model:
Unit cell a=5.700 b=5.700 c=5.017 alpha=90.00 beta=90.00 gamma=90.00
Fractional positions:
Sn  0.000  0.000  0.000
Te  0.000  0.500  0.000
Te  0.500  0.000  0.000
P  0.000  0.000  0.500
F  0.500  0.500  0.500

Top 10 peaks for 5° ≤ 2θ ≤ 70°, in order of falling intensity:
d 5.017, 17.7 deg, rel. 100.0; d 2.850, 31.4 deg, rel. 87.7; d 2.478, 36.3 deg, rel. 68.6; d 1.883, 48.3 deg, rel. 51.7; d 5.700, 15.5 deg, rel. 47.8; d 3.142, 28.4 deg, rel. 41.4; d 2.015, 45.0 deg, rel. 32.0; d 2.509, 35.8 deg, rel. 30.7; d 1.870, 48.7 deg, rel. 30.3; d 1.571, 58.8 deg, rel. 28.6

Record 4
Calculated powder XRD pattern of TlPF6 for CuKα, from DFT lattice parameters and positions (PBE).

Structural model:
Unit cell a=8.020 b=8.020 c=8.020 alpha=90.00 beta=90.00 gamma=90.00
Fractional positions:
Tl  0.000  0.000  0.000
Tl  0.000  0.500  0.500
Tl  0.500  0.000  0.500
Tl  0.500  0.500  0.000
P  0.000  0.000  0.500
P  0.000  0.500  0.000
P  0.500  0.000  0.000
P  0.500  0.500  0.500
F  0.068  0.129  0.644
F  0.068  0.371  0.144
F  0.129  0.644  0.068
F  0.129  0.856  0.568
F  0.144  0.068  0.371
F  0.144  0.432  0.871
F  0.356  0.568  0.371
F  0.356  0.932  0.871
F  0.371  0.144  0.068
F  0.371  0.356  0.568
F  0.432  0.629  0.644
F  0.432  0.871  0.144
F  0.568  0.129  0.856
F  0.568  0.371  0.356
F  0.629  0.644  0.432
F  0.629  0.856  0.932
F  0.644  0.068  0.129
F  0.644  0.432  0.629
F  0.856  0.568  0.129
F  0.856  0.932  0.629
F  0.871  0.144  0.432
F  0.871  0.356  0.932
F  0.932  0.629  0.856
F  0.932  0.871  0.356

Top 10 peaks for 5° ≤ 2θ ≤ 70°, in order of falling intensity:
d 4.010, 22.2 deg, rel. 100.0; d 2.418, 37.2 deg, rel. 72.2; d 2.836, 31.6 deg, rel. 67.4; d 4.630, 19.2 deg, rel. 40.0; d 1.793, 50.9 deg, rel. 32.5; d 1.637, 56.2 deg, rel. 29.6; d 2.315, 38.9 deg, rel. 27.3; d 1.543, 59.9 deg, rel. 20.2; d 1.840, 49.5 deg, rel. 19.9; d 1.356, 69.3 deg, rel. 13.9

Record 5
Calculated powder XRD pattern of TlPF5 for CuKα, from DFT lattice parameters and positions (PBE).

Structural model:
Unit cell a=6.012 b=6.012 c=8.790 alpha=111.41 beta=111.41 gamma=60.01
Fractional positions:
Tl  0.249  0.751  0.500
Tl  0.751  0.249  0.000
P  0.502  0.999  0.249
P  0.999  0.502  0.749
F  0.109  0.218  0.806
F  0.218  0.109  0.306
F  0.292  0.390  0.700
F  0.378  0.878  0.059
F  0.390  0.292  0.200
F  0.619  0.711  0.303
F  0.711  0.619  0.803
F  0.791  0.894  0.197
F  0.878  0.378  0.559
F  0.894  0.791  0.697

Top 10 peaks for 5° ≤ 2θ ≤ 70°, in order of falling intensity:
d 3.898, 22.8 deg, rel. 100.0; d 3.006, 29.7 deg, rel. 58.1; d 3.984, 22.3 deg, rel. 55.3; d 2.400, 37.5 deg, rel. 54.1; d 4.800, 18.5 deg, rel. 43.3; d 2.559, 35.1 deg, rel. 36.6; d 2.609, 34.4 deg, rel. 25.4; d 4.722, 18.8 deg, rel. 20.5; d 2.536, 35.4 deg, rel. 20.4; d 1.661, 55.3 deg, rel. 18.3